Structure and simulated powder diffraction line list of Ca2Ta2MnO8 (a GGA+U-relaxed structure; Cu Kα (weighted mean of Kα1 and Kα2)).

Main lines, by intensity (2θ = 10–90°):
two_theta, I (rel.), index
32.3, 100, 1 1 4
31.2, 83, 1 2 -2
18.4, 73, 0 2 0
32.0, 72, 1 -2 2
27.0, 70, 0 3 2
14.5, 63, 0 0 2

Cell and atoms:
Lattice parameters (Å, degrees): 5.490 10.159 12.843 71.60 89.99 88.29
Space group P1 (No. 1)
Symmetry-distinct sites (fractional):
1 Ca 0.000 0.000 0.000 x1
2 Ca 0.000 0.000 0.500 x1
3 Ca 0.011 0.840 0.290 x1
4 Ca 0.011 0.840 0.790 x1
5 Ca 0.500 0.000 0.171 x1
6 Ca 0.500 0.000 0.671 x1
7 Ca 0.511 0.839 0.961 x1
8 Ca 0.511 0.840 0.461 x1
9 Ta 0.005 0.648 0.101 x1
10 Ta 0.005 0.648 0.601 x1
11 Ta 0.007 0.192 0.214 x1
12 Ta 0.007 0.192 0.714 x1
13 Ta 0.505 0.648 0.247 x1
14 Ta 0.505 0.648 0.747 x1
15 Ta 0.507 0.192 0.361 x1
16 Ta 0.507 0.192 0.861 x1
17 Mn 0.005 0.420 0.410 x1
18 Mn 0.006 0.420 0.910 x1
19 Mn 0.505 0.420 0.552 x1
20 Mn 0.506 0.419 0.052 x1
21 O 0.099 0.048 0.152 x1
22 O 0.099 0.048 0.652 x1
23 O 0.164 0.537 0.527 x1
24 O 0.165 0.537 0.027 x1
25 O 0.174 0.564 0.255 x1
26 O 0.174 0.564 0.755 x1
27 O 0.246 0.055 0.355 x1
28 O 0.246 0.055 0.854 x1
29 O 0.265 0.785 0.107 x1
30 O 0.265 0.785 0.607 x1
31 O 0.337 0.276 0.706 x1
32 O 0.338 0.275 0.207 x1
33 O 0.346 0.302 0.434 x1
34 O 0.347 0.302 0.934 x1
35 O 0.412 0.792 0.310 x1
36 O 0.412 0.792 0.810 x1
37 O 0.599 0.048 0.495 x1
38 O 0.599 0.048 0.995 x1
39 O 0.664 0.537 0.375 x1
40 O 0.665 0.537 0.875 x1
41 O 0.674 0.564 0.134 x1
42 O 0.674 0.564 0.634 x1
43 O 0.746 0.055 0.289 x1
44 O 0.746 0.055 0.789 x1
45 O 0.765 0.785 0.172 x1
46 O 0.765 0.785 0.672 x1
47 O 0.837 0.275 0.327 x1
48 O 0.837 0.275 0.827 x1
49 O 0.847 0.302 0.086 x1
50 O 0.847 0.303 0.586 x1
51 O 0.912 0.792 0.466 x1
52 O 0.912 0.792 0.966 x1